Diffraction record for Rb4Mn3Br10. The X-ray powder pattern is computed, not measured: it uses a DFT-relaxed cell (GGA-PBE, Alexandria) and Cu Kα (weighted mean of Kα1 and Kα2).
No peak broadening, texture or thermal motion is included.

Crystal structure
```
17
Lattice="-2.7001 2.7001 19.2965 2.7001 -2.7001 19.2965 2.7001 2.7001 -19.2965" Properties=species:S:1:pos:R:3 pbc="T T T"
Rb 0.0000 0.0000 2.6193
Rb 0.0000 0.0000 7.7069
Rb 0.0000 0.0000 30.8860
Rb 0.0000 0.0000 35.9736
Mn 0.0000 0.0000 13.8143
Mn 0.0000 0.0000 19.2965
Mn 0.0000 0.0000 24.7786
Br 2.7001 0.0000 0.0000
Br 2.7001 0.0000 5.3415
Br 0.0000 0.0000 11.1932
Br 2.7001 0.0000 13.9550
Br 0.0000 0.0000 16.5991
Br 0.0000 2.7001 0.0000
Br 0.0000 0.0000 21.9939
Br 0.0000 2.7001 5.3415
Br 0.0000 0.0000 27.3997
Br 0.0000 2.7001 13.9550
```

Most intense lines, 2θ from 15° to 90°, sorted by position:
2θ 27.16, intensity 37; 2θ 29.84, intensity 100; 2θ 32.48, intensity 40; 2θ 33.18, intensity 99; 2θ 47.11, intensity 56; 2θ 47.63, intensity 35; 2θ 57.23, intensity 31; 2θ 57.84, intensity 19; 2θ 58.83, intensity 29; 2θ 88.37, intensity 20

Diffraction record for Rb2MnBr4. The X-ray powder pattern is computed, not measured: it uses a DFT-relaxed cell (GGA-PBE, Alexandria) and Cu Kα (weighted mean of Kα1 and Kα2).
No peak broadening, texture or thermal motion is included.

Crystal structure
```
14
Lattice="7.7200 0.0000 0.0000 0.0000 7.7285 0.0000 -3.1147 0.0000 9.2310" Properties=species:S:1:pos:R:3 pbc="T T T"
Rb 1.4867 1.9321 0.4393
Rb 0.3827 1.9321 5.2906
Rb 4.2226 5.7964 3.9403
Rb 3.1186 5.7964 8.7917
Mn -0.7750 5.7964 7.3393
Mn 5.3803 1.9321 1.8916
Br -2.2579 0.0038 6.7846
Br -2.2579 3.8605 6.7846
Br 2.8282 5.7964 0.5580
Br 1.2564 5.7964 5.8846
Br 3.3489 1.9321 3.3464
Br 1.7771 1.9321 8.6729
Br 6.8633 7.7247 2.4463
Br 6.8633 3.8680 2.4463
```

Most intense lines, 2θ from 15° to 90°, sorted by position:
2θ 25.80, intensity 70; 2θ 25.91, intensity 59; 2θ 26.08, intensity 74; 2θ 28.30, intensity 53; 2θ 28.41, intensity 47; 2θ 30.15, intensity 100; 2θ 33.74, intensity 45; 2θ 36.90, intensity 48; 2θ 43.88, intensity 35; 2θ 54.44, intensity 35

Diffraction record for RbMn3Br8. The X-ray powder pattern is computed, not measured: it uses a DFT-relaxed cell (GGA-PBE, Alexandria) and Cu Kα (weighted mean of Kα1 and Kα2).
No peak broadening, texture or thermal motion is included.

Crystal structure
```
12
Lattice="6.9472 -4.1758 0.0000 6.9472 4.1758 0.0000 -4.9504 0.0000 6.9547" Properties=species:S:1:pos:R:3 pbc="T T T"
Rb 0.0000 0.0000 0.0000
Mn 0.9984 2.0879 3.4773
Mn 0.9984 -2.0879 3.4773
Mn 6.9472 0.0000 0.0000
Br 2.9785 1.8238 5.0893
Br -0.1266 0.0000 5.2408
Br 2.0963 0.0000 2.3204
Br 5.9655 1.8238 1.8654
Br 2.9785 -1.8238 5.0893
Br 6.8477 0.0000 4.6343
Br 9.0707 0.0000 1.7139
Br 5.9655 -1.8238 1.8654
```

Most intense lines, 2θ from 15° to 90°, sorted by position:
2θ 24.87, intensity 10; 2θ 26.53, intensity 25; 2θ 26.70, intensity 12; 2θ 29.95, intensity 100; 2θ 31.62, intensity 42; 2θ 39.43, intensity 17; 2θ 42.39, intensity 15; 2θ 43.38, intensity 43; 2θ 44.78, intensity 35; 2θ 54.62, intensity 14

Diffraction record for RbMnBr3. The X-ray powder pattern is computed, not measured: it uses a DFT-relaxed cell (GGA-PBE, Alexandria) and Cu Kα (weighted mean of Kα1 and Kα2).
No peak broadening, texture or thermal motion is included.

Crystal structure
```
10
Lattice="6.7663 -5.1761 0.0000 6.7663 5.1761 0.0000 -0.1601 0.0000 5.4098" Properties=species:S:1:pos:R:3 pbc="T T T"
Rb 2.7846 0.0000 1.3275
Rb 10.5879 0.0000 4.0823
Mn 6.6863 1.7690 2.7049
Mn 6.6863 -1.7690 2.7049
Br 5.0286 3.0591 1.4302
Br 8.3439 3.0591 3.9796
Br 5.2944 0.0000 3.9642
Br 8.0781 0.0000 1.4456
Br 5.0286 -3.0591 1.4302
Br 8.3439 -3.0591 3.9796
```

Most intense lines, 2θ from 15° to 90°, sorted by position:
2θ 21.50, intensity 18; 2θ 26.78, intensity 25; 2θ 27.01, intensity 91; 2θ 27.50, intensity 100; 2θ 31.57, intensity 25; 2θ 33.12, intensity 24; 2θ 34.66, intensity 13; 2θ 42.46, intensity 31; 2θ 48.69, intensity 14; 2θ 51.63, intensity 15